Computed X-ray diffraction stick pattern of CePu2SbN2 for Cu Kα, 1.54184 Å, from a cell relaxed with GGA-PBE.
No peak broadening, texture or thermal motion is included.

Crystal structure
```
data_CePu2SbN2
_symmetry_space_group_name_H-M 'P 4/m m m'
_symmetry_Int_Tables_number 123
_symmetry_space_group_name_Hall '-P 4 2'
_cell_length_a 4.4469
_cell_length_b 4.4469
_cell_length_c 6.4908
_cell_angle_alpha 90.00
_cell_angle_beta 90.00
_cell_angle_gamma 90.00
loop_
_atom_site_label
_atom_site_type_symbol
_atom_site_fract_x
_atom_site_fract_y
_atom_site_fract_z
Ce1 Ce 0.0000 0.0000 0.0000
Pu1 Pu 0.5000 0.5000 0.2391
Sb1 Sb 0.0000 0.0000 0.5000
N1 N 0.0000 0.5000 0.0000
```

Peak list (10 most intense, 2θ from 10° to 90°, sorted by position)
2θ (°)	I_rel
19.97	15
28.38	76
34.20	100
40.57	34
54.08	55
64.64	15
66.49	14
69.75	13
72.05	12
83.93	16

Computed X-ray diffraction stick pattern of Rb2NiI4 for Cu Kα, 1.54184 Å, from a cell relaxed with GGA-PBE.
No peak broadening, texture or thermal motion is included.

Crystal structure
```
data_Rb2NiI4
_symmetry_space_group_name_H-M 'P 1 21/m 1'
_symmetry_Int_Tables_number 11
_cell_length_a 7.6028
_cell_length_b 8.1200
_cell_length_c 11.4861
_cell_angle_alpha 90.00
_cell_angle_beta 91.21
_cell_angle_gamma 90.00
loop_
_symmetry_equiv_pos_as_xyz
'x,y,z'
'-x,-y,-z'
'-x,y+1/2,-z'
'x,-y+1/2,z'
loop_
_atom_site_label
_atom_site_type_symbol
_atom_site_fract_x
_atom_site_fract_y
_atom_site_fract_z
Rb1 Rb 0.1890 0.2500 0.0010
Rb2 Rb 0.1901 0.2500 0.5042
Ni1 Ni 0.2096 0.7500 0.7532
I1 I 0.0059 0.0021 0.2505
I2 I 0.3246 0.7500 0.9644
I3 I 0.3276 0.7500 0.5459
```

Peak list (10 most intense, 2θ from 10° to 90°, sorted by position)
2θ (°)	I_rel
11.64	48
19.18	28
19.57	32
24.86	29
25.88	30
26.90	100
27.88	28
28.45	27
31.15	38
32.26	61

Computed X-ray diffraction stick pattern of NaP3Pt7 for Cu Kα, 1.54184 Å, from a cell relaxed with GGA-PBE.
No peak broadening, texture or thermal motion is included.

Crystal structure
```
data_NaP3Pt7
_symmetry_space_group_name_H-M 'R -3 c'
_symmetry_Int_Tables_number 167
_symmetry_space_group_name_Hall '-R 3 2"c'
_cell_length_a 7.6603
_cell_length_b 7.6603
_cell_length_c 20.6188
_cell_angle_alpha 90.00
_cell_angle_beta 90.00
_cell_angle_gamma 120.00
loop_
_atom_site_label
_atom_site_type_symbol
_atom_site_fract_x
_atom_site_fract_y
_atom_site_fract_z
Na1 Na 0.0000 0.0000 0.0000
P1 P 0.0000 0.3250 0.2500
Pt1 Pt 0.0000 0.0000 0.2500
Pt2 Pt 0.0318 0.2383 0.1418
```

Peak list (10 most intense, 2θ from 10° to 90°, sorted by position)
2θ (°)	I_rel
15.89	37
21.84	18
28.26	29
32.09	25
36.08	100
37.43	36
39.99	85
42.18	75
46.15	71
64.35	22

Computed X-ray diffraction stick pattern of EuSiH for Cu Kα, 1.54184 Å, from a cell relaxed with GGA-PBE.
No peak broadening, texture or thermal motion is included.

Crystal structure
```
data_EuSiH
_symmetry_space_group_name_H-M 'P b c n'
_symmetry_Int_Tables_number 60
_cell_length_a 11.3682
_cell_length_b 6.3862
_cell_length_c 6.0953
_cell_angle_alpha 90.00
_cell_angle_beta 90.00
_cell_angle_gamma 90.00
loop_
_symmetry_equiv_pos_as_xyz
'x,y,z'
'-x,-y,-z'
'-x+1/2,-y+1/2,z+1/2'
'x+1/2,y+1/2,-z+1/2'
'x+1/2,-y+1/2,-z'
'-x+1/2,y+1/2,z'
'-x,y,-z+1/2'
'x,-y,z+1/2'
loop_
_atom_site_label
_atom_site_type_symbol
_atom_site_fract_x
_atom_site_fract_y
_atom_site_fract_z
Eu1 Eu 0.1437 0.2344 0.1457
Si1 Si 0.0886 0.2372 0.6478
H1 H 0.1640 0.4200 0.5170
```

Peak list (10 most intense, 2θ from 10° to 90°, sorted by position)
2θ (°)	I_rel
21.62	62
25.57	77
27.94	91
30.36	80
31.12	100
31.48	51
41.73	64
42.59	42
49.75	30
60.78	32

Computed X-ray diffraction stick pattern of UBeTe for Cu Kα, 1.54184 Å, from a cell relaxed with GGA-PBE.
No peak broadening, texture or thermal motion is included.

Crystal structure
```
data_UBeTe
_symmetry_space_group_name_H-M 'P m m n'
_symmetry_Int_Tables_number 59
_cell_length_a 3.8011
_cell_length_b 5.2996
_cell_length_c 6.5576
_cell_angle_alpha 90.00
_cell_angle_beta 90.00
_cell_angle_gamma 90.00
loop_
_symmetry_equiv_pos_as_xyz
'x,y,z'
'-x,-y,-z'
'-x+1/2,-y+1/2,z'
'x+1/2,y+1/2,-z'
'x+1/2,-y,-z'
'-x+1/2,y,z'
'-x,y+1/2,-z'
'x,-y+1/2,z'
loop_
_atom_site_label
_atom_site_type_symbol
_atom_site_fract_x
_atom_site_fract_y
_atom_site_fract_z
U1 U 0.2500 0.2500 0.1951
Be1 Be 0.2500 0.7500 0.0932
Te1 Te 0.2500 0.2500 0.6854
```

Peak list (10 most intense, 2θ from 10° to 90°, sorted by position)
2θ (°)	I_rel
27.18	43
28.91	100
32.10	34
33.83	36
36.18	27
40.11	49
43.92	24
50.37	21
57.53	15
72.17	15

Computed X-ray diffraction stick pattern of LiY2PtO6 for Cu Kα, 1.54184 Å, from a cell relaxed with GGA-PBE.
No peak broadening, texture or thermal motion is included.

Crystal structure
```
data_LiY2PtO6
_symmetry_space_group_name_H-M 'P 1 21/c 1'
_symmetry_Int_Tables_number 14
_cell_length_a 5.3392
_cell_length_b 5.7639
_cell_length_c 9.2215
_cell_angle_alpha 90.00
_cell_angle_beta 124.34
_cell_angle_gamma 90.00
loop_
_symmetry_equiv_pos_as_xyz
'x,y,z'
'-x,-y,-z'
'-x,y+1/2,-z+1/2'
'x,-y+1/2,z+1/2'
loop_
_atom_site_label
_atom_site_type_symbol
_atom_site_fract_x
_atom_site_fract_y
_atom_site_fract_z
Li1 Li 0.0000 0.0000 0.0000
Y1 Y 0.2236 0.0816 0.7474
Pt1 Pt 0.5000 0.0000 0.5000
O1 O 0.1316 0.1849 0.4414
O2 O 0.2628 0.7023 0.4369
O3 O 0.3753 0.0432 0.2525
```

Peak list (10 most intense, 2θ from 10° to 90°, sorted by position)
2θ (°)	I_rel
19.31	100
20.14	31
20.49	53
31.03	31
32.58	77
33.03	76
33.58	37
38.81	49
46.37	28
47.78	35

Computed X-ray diffraction stick pattern of Rb2UPd3Se6 for Cu Kα, 1.54184 Å, from a cell relaxed with GGA-PBE.
No peak broadening, texture or thermal motion is included.

Crystal structure
```
data_Rb2UPd3Se6
_symmetry_space_group_name_H-M 'F m m m'
_symmetry_Int_Tables_number 69
_symmetry_space_group_name_Hall '-F 2 2'
_cell_length_a 10.1054
_cell_length_b 15.7435
_cell_length_c 17.5467
_cell_angle_alpha 90.00
_cell_angle_beta 90.00
_cell_angle_gamma 90.00
loop_
_atom_site_label
_atom_site_type_symbol
_atom_site_fract_x
_atom_site_fract_y
_atom_site_fract_z
Rb1 Rb 0.0000 0.1752 0.0000
Rb2 Rb 0.2500 0.2500 0.2500
U1 U 0.0000 0.0000 0.3322
Pd1 Pd 0.1655 0.0000 0.1615
Pd2 Pd 0.1700 0.0000 0.5000
Se1 Se 0.0000 0.1093 0.2039
Se2 Se 0.1870 0.1102 0.3981
```

Peak list (10 most intense, 2θ from 10° to 90°, sorted by position)
2θ (°)	I_rel
11.24	100
23.24	42
31.16	25
31.96	33
32.67	19
35.18	34
35.43	30
42.22	43
46.50	18
54.71	21

Computed X-ray diffraction stick pattern of Ba2ThNpO6 for Cu Kα, 1.54184 Å, from a cell relaxed with GGA-PBE.
No peak broadening, texture or thermal motion is included.

Crystal structure
```
data_Ba2ThNpO6
_symmetry_space_group_name_H-M 'P m m n'
_symmetry_Int_Tables_number 59
_cell_length_a 6.3608
_cell_length_b 9.0141
_cell_length_c 6.4406
_cell_angle_alpha 90.00
_cell_angle_beta 90.00
_cell_angle_gamma 90.00
loop_
_symmetry_equiv_pos_as_xyz
'x,y,z'
'-x,-y,-z'
'-x+1/2,-y+1/2,z'
'x+1/2,y+1/2,-z'
'x+1/2,-y,-z'
'-x+1/2,y,z'
'-x,y+1/2,-z'
'x,-y+1/2,z'
loop_
_atom_site_label
_atom_site_type_symbol
_atom_site_fract_x
_atom_site_fract_y
_atom_site_fract_z
Ba1 Ba 0.2500 0.0081 0.2215
Th1 Th 0.2500 0.2500 0.7385
Np1 Np 0.2500 0.7500 0.7553
O1 O 0.0025 0.2500 0.4808
O2 O 0.0034 0.7500 0.0026
O3 O 0.2500 0.5035 0.7817
```

Peak list (10 most intense, 2θ from 10° to 90°, sorted by position)
2θ (°)	I_rel
19.64	19
27.70	24
27.94	100
28.06	25
39.84	27
40.01	14
49.14	20
49.58	32
57.74	17
65.46	14

Computed X-ray diffraction stick pattern of Li5TlPb6 for Cu Kα, 1.54184 Å, from a cell relaxed with GGA-PBE.
No peak broadening, texture or thermal motion is included.

Crystal structure
```
data_Li5TlPb6
_symmetry_space_group_name_H-M 'P 1 2/m 1'
_symmetry_Int_Tables_number 10
_cell_length_a 4.7427
_cell_length_b 8.9890
_cell_length_c 7.3431
_cell_angle_alpha 90.00
_cell_angle_beta 108.25
_cell_angle_gamma 90.00
loop_
_symmetry_equiv_pos_as_xyz
'x,y,z'
'-x,-y,-z'
'-x,y,-z'
'x,-y,z'
loop_
_atom_site_label
_atom_site_type_symbol
_atom_site_fract_x
_atom_site_fract_y
_atom_site_fract_z
Li1 Li 0.0000 0.0000 0.0000
Li2 Li 0.3325 0.0000 0.6660
Li3 Li 0.3358 0.5000 0.6726
Tl1 Tl 0.0000 0.5000 0.0000
Pb1 Pb 0.1717 0.2364 0.3416
Pb2 Pb 0.5000 0.2258 0.0000
```

Peak list (10 most intense, 2θ from 10° to 90°, sorted by position)
2θ (°)	I_rel
19.75	86
26.71	44
27.00	43
33.44	100
33.67	98
37.95	38
38.74	35
40.12	28
43.13	24
43.85	22

Computed X-ray diffraction stick pattern of V7Cr3 for Cu Kα, 1.54184 Å, from a cell relaxed with GGA-PBE.
No peak broadening, texture or thermal motion is included.

Crystal structure
```
data_V7Cr3
_symmetry_space_group_name_H-M 'P 63/m m c'
_symmetry_Int_Tables_number 194
_symmetry_space_group_name_Hall '-P 6c 2c'
_cell_length_a 7.9041
_cell_length_b 7.9041
_cell_length_c 4.9800
_cell_angle_alpha 90.00
_cell_angle_beta 90.00
_cell_angle_gamma 120.00
loop_
_atom_site_label
_atom_site_type_symbol
_atom_site_fract_x
_atom_site_fract_y
_atom_site_fract_z
V1 V 0.0000 0.5000 0.0000
V2 V 0.1234 0.2467 0.2500
V3 V 0.3333 0.6667 0.2500
Cr1 Cr 0.2224 0.4447 0.7500
```

Peak list (10 most intense, 2θ from 10° to 90°, sorted by position)
2θ (°)	I_rel
12.93	19
36.07	18
39.24	65
39.49	22
43.63	95
45.02	100
45.93	35
47.92	20
70.10	20
82.91	26

Computed X-ray diffraction stick pattern of KB6H6 for Cu Kα, 1.54184 Å, from a cell relaxed with GGA-PBE.
No peak broadening, texture or thermal motion is included.

Crystal structure
```
data_KB6H6
_symmetry_space_group_name_H-M 'F m -3'
_symmetry_Int_Tables_number 202
_symmetry_space_group_name_Hall '-F 2 2 3'
_cell_length_a 10.6191
_cell_length_b 10.6191
_cell_length_c 10.6191
_cell_angle_alpha 90.00
_cell_angle_beta 90.00
_cell_angle_gamma 90.00
loop_
_atom_site_label
_atom_site_type_symbol
_atom_site_fract_x
_atom_site_fract_y
_atom_site_fract_z
K1 K 0.2500 0.2500 0.2500
B1 B 0.0000 0.1356 0.0835
H1 H 0.0000 0.2332 0.1411
```

Peak list (10 most intense, 2θ from 10° to 90°, sorted by position)
2θ (°)	I_rel
14.45	100
23.70	64
29.13	24
33.76	9
37.89	55
41.67	17
51.64	13
54.66	10
63.14	10
65.81	14

Please write out number 5 again, unchanged.
Computed X-ray diffraction stick pattern of UBeTe for Cu Kα, 1.54184 Å, from a cell relaxed with GGA-PBE.
No peak broadening, texture or thermal motion is included.

Crystal structure
```
data_UBeTe
_symmetry_space_group_name_H-M 'P m m n'
_symmetry_Int_Tables_number 59
_cell_length_a 3.8011
_cell_length_b 5.2996
_cell_length_c 6.5576
_cell_angle_alpha 90.00
_cell_angle_beta 90.00
_cell_angle_gamma 90.00
loop_
_symmetry_equiv_pos_as_xyz
'x,y,z'
'-x,-y,-z'
'-x+1/2,-y+1/2,z'
'x+1/2,y+1/2,-z'
'x+1/2,-y,-z'
'-x+1/2,y,z'
'-x,y+1/2,-z'
'x,-y+1/2,z'
loop_
_atom_site_label
_atom_site_type_symbol
_atom_site_fract_x
_atom_site_fract_y
_atom_site_fract_z
U1 U 0.2500 0.2500 0.1951
Be1 Be 0.2500 0.7500 0.0932
Te1 Te 0.2500 0.2500 0.6854
```

Peak list (10 most intense, 2θ from 10° to 90°, sorted by position)
2θ (°)	I_rel
27.18	43
28.91	100
32.10	34
33.83	36
36.18	27
40.11	49
43.92	24
50.37	21
57.53	15
72.17	15